Diffraction record for Pr2HoEr4Th. The X-ray powder pattern is simulated, not measured: it uses DFT lattice parameters and positions (GGA-PBE) and CuKα.

Crystal structure
```
8
Lattice="5.080 0.000 0.000 0.000 5.096 0.000 0.000 0.000 9.948" Properties=species:S:1:pos:R:3 pbc="T T T"
Pr 0.000 0.000 0.000
Pr 2.540 2.548 4.974
Ho 0.000 0.000 4.974
Er 0.000 2.548 2.457
Er 0.000 2.548 7.491
Er 2.540 0.000 2.456
Er 2.540 0.000 7.492
Th 2.540 2.548 0.000
```

The 8 most intense peaks (10 to 80 degrees two-theta), sorted by position:
two_theta, d (Å), Rel. int.
30.67, 2.915, 100
35.22, 2.548, 17
35.33, 2.540, 17
36.11, 2.487, 16
51.38, 1.778, 24
60.40, 1.533, 15
60.55, 1.529, 15
61.59, 1.506, 14


Diffraction record for Ba4SiPd3. The X-ray powder pattern is simulated, not measured: it uses DFT lattice parameters and positions (GGA-PBE) and CuKα.

Crystal structure
```
8
Lattice="4.611 0.000 0.000 0.000 4.745 0.000 0.000 0.000 11.868" Properties=species:S:1:pos:R:3 pbc="T T T"
Ba 0.000 0.000 0.000
Ba 0.000 2.373 5.849
Ba 2.305 0.000 3.274
Ba 2.305 2.373 9.249
Si 2.305 0.000 7.037
Pd 0.000 0.000 7.998
Pd 0.000 2.373 2.437
Pd 2.305 2.373 0.800
```

The 8 most intense peaks (10 to 80 degrees two-theta), sorted by position:
two_theta, d (Å), Rel. int.
28.01, 3.185, 100
29.40, 3.038, 60
35.38, 2.537, 57
36.00, 2.495, 25
37.92, 2.373, 32
39.07, 2.305, 27
49.64, 1.837, 27
50.16, 1.819, 23


Diffraction record for Li5Dy2Zn12. The X-ray powder pattern is simulated, not measured: it uses DFT lattice parameters and positions (GGA-PBE) and CuKα.

Crystal structure
```
19
Lattice="4.498 2.597 4.361 -4.498 2.597 4.361 0.000 -5.194 4.361" Properties=species:S:1:pos:R:3 pbc="T T T"
Li -4.498 0.000 6.541
Li -2.249 1.299 2.180
Li 0.000 0.000 1.266
Li 2.249 1.299 2.180
Li 0.000 0.000 11.816
Dy 0.000 0.000 4.536
Dy 0.000 0.000 8.546
Zn -1.338 -2.876 4.361
Zn -3.160 0.279 4.361
Zn -2.234 -1.290 6.360
Zn 1.338 -2.876 4.361
Zn -1.822 2.597 4.361
Zn 0.000 -2.580 6.722
Zn -2.234 1.290 6.722
Zn 2.234 -1.290 6.360
Zn 0.000 2.580 6.360
Zn 3.160 0.279 4.361
Zn 1.822 2.597 4.361
Zn 2.234 1.290 6.722
```

The 8 most intense peaks (10 to 80 degrees two-theta), sorted by position:
two_theta, d (Å), Rel. int.
13.23, 6.694, 43
26.63, 3.347, 25
31.13, 2.873, 26
34.54, 2.597, 35
35.85, 2.505, 45
40.09, 2.249, 27
40.42, 2.231, 100
41.41, 2.180, 28


Diffraction record for Tm3PuSc6. The X-ray powder pattern is simulated, not measured: it uses DFT lattice parameters and positions (GGA-PBE) and CuKα.

Crystal structure
```
10
Lattice="8.178 0.000 0.000 0.000 3.301 0.000 -3.185 0.000 9.682" Properties=species:S:1:pos:R:3 pbc="T T T"
Tm 0.000 0.000 0.000
Tm -0.906 1.650 7.553
Tm 5.927 1.650 1.815
Pu 1.471 0.000 5.673
Sc 0.838 1.650 2.822
Sc 3.202 0.000 0.940
Sc 2.282 1.650 8.405
Sc 3.758 1.650 3.959
Sc 4.456 0.000 6.632
Sc 6.654 0.000 4.531
```

The 8 most intense peaks (10 to 80 degrees two-theta), sorted by position:
two_theta, d (Å), Rel. int.
16.71, 5.304, 84
29.73, 3.005, 31
29.96, 2.982, 22
32.84, 2.727, 97
33.78, 2.653, 100
35.22, 2.548, 44
35.70, 2.515, 46
51.02, 1.790, 32


Diffraction record for Nd2CoH6Ir. The X-ray powder pattern is simulated, not measured: it uses DFT lattice parameters and positions (GGA-PBE) and CuKα.

Crystal structure
```
10
Lattice="3.557 -3.963 0.000 3.557 3.963 0.000 -3.541 0.000 3.562" Properties=species:S:1:pos:R:3 pbc="T T T"
Nd 3.557 1.981 0.000
Nd 3.557 -1.981 0.000
Co -1.771 0.000 1.781
H 1.786 2.306 1.781
H -0.021 0.000 1.781
H -1.764 0.000 3.535
H 5.337 0.000 0.027
H 3.594 0.000 1.782
H 1.786 -2.306 1.781
Ir 1.786 0.000 1.781
```

The 8 most intense peaks (10 to 80 degrees two-theta), sorted by position:
two_theta, d (Å), Rel. int.
20.90, 4.249, 17
33.85, 2.648, 100
35.59, 2.523, 22
35.75, 2.512, 22
51.33, 1.780, 16
62.81, 1.479, 17
63.02, 1.475, 17
71.22, 1.324, 12


Diffraction record for AcAlIn4Ag2. The X-ray powder pattern is simulated, not measured: it uses DFT lattice parameters and positions (GGA-PBE) and CuKα.

Crystal structure
```
8
Lattice="2.442 1.410 9.941 -2.442 1.410 9.941 0.000 -2.820 9.941" Properties=species:S:1:pos:R:3 pbc="T T T"
Ac 0.000 0.000 0.000
Al 0.000 0.000 14.912
In 0.000 0.000 3.872
In 0.000 0.000 12.030
In 0.000 0.000 17.793
In 0.000 0.000 25.952
Ag 0.000 0.000 7.834
Ag 0.000 0.000 21.989
```

The 8 most intense peaks (10 to 80 degrees two-theta), sorted by position:
two_theta, d (Å), Rel. int.
29.76, 3.002, 70
32.00, 2.797, 73
36.81, 2.442, 100
48.03, 1.894, 19
49.56, 1.839, 21
60.00, 1.542, 38
63.30, 1.469, 20
66.30, 1.410, 19